Structure and calculated powder diffraction line list of PmZn12Pt6 (a DFT-relaxed cell (GGA-PBE, Alexandria); Cu Kα (weighted mean of Kα1 and Kα2)).

Most intense lines, 2θ = 5–70°, most intense first:
2theta, I/Imax, hkl
41.25, 100, 3 2 1
45.69, 99, 0 2 4
26.03, 87, 2 1 1
27.38, 74, 2 0 2
31.44, 73, 2 2 0
41.59, 72, 0 3 3
45.21, 59, 2 3 2
50.87, 54, 5 0 2
67.61, 46, 5 2 3
34.79, 43, 1 1 3
31.65, 42, 1 2 2
34.39, 38, 1 3 1

Cell and atoms:
Cell lengths 11.3830, 11.3830, 8.6789 Å; angles 90.00, 90.00, 120.00 degrees
Space group R-3m (No. 166, hexagonal axes)
Symmetry-distinct sites (fractional):
Pm: 0.0000 0.0000 0.0000
Zn: 0.0000 0.3896 0.5000
Zn: 0.0850 0.1700 0.3069
Pt: 0.0474 0.5237 0.2451